No. 1
For Mg3HIr5, DFT lattice parameters and positions (PBE) gives the theoretical PXRD pattern in this record (Cu Kα, 1.54184 Å).
Neutral-atom scattering factors, no anomalous dispersion.

Peak list (8 most intense, 5 to 70 degrees two-theta, sorted by position)
| 2theta | d [Å] | I/Imax |
| --- | --- | --- |
| 19.93 | 4.454 | 63 |
| 36.54 | 2.459 | 76 |
| 40.50 | 2.227 | 46 |
| 41.91 | 2.155 | 100 |
| 42.02 | 2.150 | 99 |
| 55.59 | 1.653 | 23 |
| 55.77 | 1.648 | 23 |
| 65.78 | 1.420 | 32 |

Structure:
```
data_Mg3HIr5
_chemical_formula_sum 'Mg3 H1 Ir5'
_cell_length_a 5.2826
_cell_length_b 5.2826
_cell_length_c 4.9177
_cell_angle_alpha 90.21
_cell_angle_beta 90.21
_cell_angle_gamma 65.04
_space_group_name_H-M_alt 'P 1'
_space_group_IT_number 1
loop_
_space_group_symop_operation_xyz
'x,y,z'
loop_
_atom_site_label
_atom_site_type_symbol
_atom_site_fract_x
_atom_site_fract_y
_atom_site_fract_z
_atom_site_occupancy
Mg1 Mg 0.0000 0.0000 0.0000 1
Mg2 Mg 0.2578 0.7345 0.4871 1
Mg3 Mg 0.7345 0.2578 0.4871 1
H1 H 0.1747 0.1747 0.6444 1
Ir1 Ir 0.2476 0.2476 0.3090 1
Ir2 Ir 0.4991 0.4991 0.9812 1
Ir3 Ir 0.5109 0.9901 0.8390 1
Ir4 Ir 0.7482 0.7482 0.3174 1
Ir5 Ir 0.9901 0.5109 0.8390 1
```

No. 2
For Nd2S3O12, DFT lattice parameters and positions (PBE) gives the theoretical PXRD pattern in this record (Cu Kα, 1.54184 Å).
Neutral-atom scattering factors, no anomalous dispersion.

Peak list (8 most intense, 5 to 70 degrees two-theta, sorted by position)
| 2theta | d [Å] | I/Imax |
| --- | --- | --- |
| 13.82 | 6.408 | 100 |
| 17.07 | 5.195 | 94 |
| 19.99 | 4.442 | 89 |
| 25.39 | 3.509 | 68 |
| 29.67 | 3.011 | 68 |
| 29.80 | 2.999 | 39 |
| 31.22 | 2.865 | 36 |
| 32.07 | 2.791 | 61 |

Structure:
```
data_Nd2S3O12
_chemical_formula_sum 'Nd4 S6 O24'
_cell_length_a 11.3708
_cell_length_b 11.3708
_cell_length_c 7.0213
_cell_angle_alpha 106.15
_cell_angle_beta 106.15
_cell_angle_gamma 34.46
_space_group_name_H-M_alt 'P 1'
_space_group_IT_number 1
loop_
_space_group_symop_operation_xyz
'x,y,z'
loop_
_atom_site_label
_atom_site_type_symbol
_atom_site_fract_x
_atom_site_fract_y
_atom_site_fract_z
_atom_site_occupancy
Nd1 Nd 0.0129 0.7230 0.8656 1
Nd2 Nd 0.2770 0.9871 0.6344 1
Nd3 Nd 0.7230 0.0129 0.3656 1
Nd4 Nd 0.9871 0.2770 0.1344 1
S1 S 0.1333 0.5001 0.3185 1
S2 S 0.1632 0.8368 0.7500 1
S3 S 0.5001 0.1333 0.8185 1
S4 S 0.4999 0.8667 0.1815 1
S5 S 0.8368 0.1632 0.2500 1
S6 S 0.8667 0.4999 0.6815 1
O1 O 0.0186 0.6307 0.5015 1
O2 O 0.0234 0.0878 0.3560 1
O3 O 0.0356 0.6577 0.1915 1
O4 O 0.0878 0.0234 0.8560 1
O5 O 0.1004 0.3972 0.2140 1
O6 O 0.2593 0.6930 0.8896 1
O7 O 0.3070 0.7407 0.6104 1
O8 O 0.3423 0.9644 0.3085 1
O9 O 0.3484 0.3565 0.8676 1
O10 O 0.3565 0.3484 0.3676 1
O11 O 0.3693 0.9814 0.9985 1
O12 O 0.3972 0.1004 0.7140 1
O13 O 0.6028 0.8996 0.2860 1
O14 O 0.6307 0.0186 0.0015 1
O15 O 0.6435 0.6516 0.6324 1
O16 O 0.6516 0.6435 0.1324 1
O17 O 0.6577 0.0356 0.6915 1
O18 O 0.6930 0.2593 0.3896 1
O19 O 0.7407 0.3070 0.1104 1
O20 O 0.8996 0.6028 0.7860 1
O21 O 0.9122 0.9766 0.1440 1
O22 O 0.9644 0.3423 0.8085 1
O23 O 0.9766 0.9122 0.6440 1
O24 O 0.9814 0.3693 0.4985 1
```

No. 3
For K2PRh, DFT lattice parameters and positions (PBE) gives the theoretical PXRD pattern in this record (Cu Kα, 1.54184 Å).
Neutral-atom scattering factors, no anomalous dispersion.

Peak list (8 most intense, 5 to 70 degrees two-theta, sorted by position)
| 2theta | d [Å] | I/Imax |
| --- | --- | --- |
| 17.79 | 4.986 | 77 |
| 18.25 | 4.860 | 45 |
| 22.25 | 3.995 | 50 |
| 30.79 | 2.904 | 55 |
| 31.51 | 2.839 | 55 |
| 31.62 | 2.830 | 100 |
| 52.84 | 1.733 | 42 |
| 55.25 | 1.663 | 29 |

Structure:
```
data_K2PRh
_chemical_formula_sum 'K2 P1 Rh1'
_cell_length_a 6.0711
_cell_length_b 6.0711
_cell_length_c 6.0711
_cell_angle_alpha 137.68
_cell_angle_beta 122.85
_cell_angle_gamma 73.63
_space_group_name_H-M_alt 'P 1'
_space_group_IT_number 1
loop_
_space_group_symop_operation_xyz
'x,y,z'
loop_
_atom_site_label
_atom_site_type_symbol
_atom_site_fract_x
_atom_site_fract_y
_atom_site_fract_z
_atom_site_occupancy
K1 K 0.0000 0.0000 0.0000 1
K2 K 0.6818 0.1818 0.5000 1
P1 P 0.3352 0.8352 0.5000 1
Rh1 Rh 0.3469 0.3469 0.0000 1
```

No. 4
For La5NdEr3, DFT lattice parameters and positions (PBE) gives the theoretical PXRD pattern in this record (Cu Kα, 1.54184 Å).
Neutral-atom scattering factors, no anomalous dispersion.

Peak list (8 most intense, 5 to 70 degrees two-theta, sorted by position)
| 2theta | d [Å] | I/Imax |
| --- | --- | --- |
| 24.27 | 3.667 | 24 |
| 28.86 | 3.094 | 40 |
| 30.78 | 2.905 | 80 |
| 31.27 | 2.861 | 100 |
| 31.52 | 2.839 | 50 |
| 31.90 | 2.805 | 83 |
| 32.88 | 2.724 | 40 |
| 34.21 | 2.621 | 37 |

Structure:
```
data_La5NdEr3
_chemical_formula_sum 'La10 Nd2 Er6'
_cell_length_a 10.1131
_cell_length_b 10.1131
_cell_length_c 11.3900
_cell_angle_alpha 114.55
_cell_angle_beta 114.55
_cell_angle_gamma 38.28
_space_group_name_H-M_alt 'P 1'
_space_group_IT_number 1
loop_
_space_group_symop_operation_xyz
'x,y,z'
loop_
_atom_site_label
_atom_site_type_symbol
_atom_site_fract_x
_atom_site_fract_y
_atom_site_fract_z
_atom_site_occupancy
La1 La 0.0262 0.6389 0.2889 1
La2 La 0.0984 0.9016 0.7500 1
La3 La 0.1593 0.5003 0.6412 1
La4 La 0.3611 0.9738 0.2111 1
La5 La 0.5003 0.1593 0.1412 1
La6 La 0.4997 0.8407 0.8588 1
La7 La 0.6389 0.0262 0.7889 1
La8 La 0.8407 0.4997 0.3588 1
La9 La 0.9016 0.0984 0.2500 1
La10 La 0.9738 0.3611 0.7111 1
Nd1 Nd 0.3603 0.6397 0.2500 1
Nd2 Nd 0.6397 0.3603 0.7500 1
Er1 Er 0.0493 0.6290 0.9857 1
Er2 Er 0.3710 0.9507 0.5143 1
Er3 Er 0.5000 0.5000 0.0000 1
Er4 Er 0.5000 0.5000 0.5000 1
Er5 Er 0.6290 0.0493 0.4857 1
Er6 Er 0.9507 0.3710 0.0143 1
```

No. 5
For TbHoCoCu, DFT lattice parameters and positions (PBE) gives the theoretical PXRD pattern in this record (Cu Kα, 1.54184 Å).
Neutral-atom scattering factors, no anomalous dispersion.

Peak list (6 most intense, 5 to 70 degrees two-theta, sorted by position)
| 2theta | d [Å] | I/Imax |
| --- | --- | --- |
| 26.21 | 3.400 | 22 |
| 37.41 | 2.404 | 100 |
| 46.25 | 1.963 | 7 |
| 53.94 | 1.700 | 17 |
| 60.93 | 1.521 | 9 |
| 67.48 | 1.388 | 34 |

Structure:
```
data_TbHoCoCu
_chemical_formula_sum 'Tb1 Ho1 Co1 Cu1'
_cell_length_a 4.8083
_cell_length_b 4.8083
_cell_length_c 4.8083
_cell_angle_alpha 60.00
_cell_angle_beta 60.00
_cell_angle_gamma 60.00
_space_group_name_H-M_alt 'P 1'
_space_group_IT_number 1
loop_
_space_group_symop_operation_xyz
'x,y,z'
loop_
_atom_site_label
_atom_site_type_symbol
_atom_site_fract_x
_atom_site_fract_y
_atom_site_fract_z
_atom_site_occupancy
Tb1 Tb 0.0000 0.0000 0.0000 1
Ho1 Ho 0.5000 0.5000 0.5000 1
Co1 Co 0.7500 0.7500 0.7500 1
Cu1 Cu 0.2500 0.2500 0.2500 1
```

No. 6
For KAcBiPb, DFT lattice parameters and positions (PBE) gives the theoretical PXRD pattern in this record (Cu Kα, 1.54184 Å).
Neutral-atom scattering factors, no anomalous dispersion.

Peak list (8 most intense, 5 to 70 degrees two-theta, sorted by position)
| 2theta | d [Å] | I/Imax |
| --- | --- | --- |
| 18.37 | 4.829 | 15 |
| 21.25 | 4.182 | 6 |
| 30.22 | 2.957 | 100 |
| 35.60 | 2.522 | 9 |
| 43.27 | 2.091 | 19 |
| 47.38 | 1.919 | 4 |
| 53.69 | 1.707 | 41 |
| 62.85 | 1.479 | 13 |

Structure:
```
data_KAcBiPb
_chemical_formula_sum 'K1 Ac1 Bi1 Pb1'
_cell_length_a 5.9141
_cell_length_b 5.9141
_cell_length_c 5.9141
_cell_angle_alpha 60.00
_cell_angle_beta 60.00
_cell_angle_gamma 60.00
_space_group_name_H-M_alt 'P 1'
_space_group_IT_number 1
loop_
_space_group_symop_operation_xyz
'x,y,z'
loop_
_atom_site_label
_atom_site_type_symbol
_atom_site_fract_x
_atom_site_fract_y
_atom_site_fract_z
_atom_site_occupancy
K1 K 0.0000 0.0000 0.0000 1
Ac1 Ac 0.5000 0.5000 0.5000 1
Bi1 Bi 0.2500 0.2500 0.2500 1
Pb1 Pb 0.7500 0.7500 0.7500 1
```

No. 7
For Na2PbSe2, DFT lattice parameters and positions (PBE) gives the theoretical PXRD pattern in this record (Cu Kα, 1.54184 Å).
Neutral-atom scattering factors, no anomalous dispersion.

Peak list (8 most intense, 5 to 70 degrees two-theta, sorted by position)
| 2theta | d [Å] | I/Imax |
| --- | --- | --- |
| 16.45 | 5.389 | 89 |
| 17.16 | 5.166 | 38 |
| 21.53 | 4.127 | 49 |
| 28.26 | 3.158 | 57 |
| 28.58 | 3.123 | 37 |
| 30.30 | 2.950 | 100 |
| 35.80 | 2.508 | 42 |
| 41.90 | 2.156 | 60 |

Structure:
```
data_Na2PbSe2
_chemical_formula_sum 'Na4 Pb2 Se4'
_cell_length_a 10.5451
_cell_length_b 10.5451
_cell_length_c 6.3168
_cell_angle_alpha 90.00
_cell_angle_beta 90.00
_cell_angle_gamma 156.96
_space_group_name_H-M_alt 'P 1'
_space_group_IT_number 1
loop_
_space_group_symop_operation_xyz
'x,y,z'
loop_
_atom_site_label
_atom_site_type_symbol
_atom_site_fract_x
_atom_site_fract_y
_atom_site_fract_z
_atom_site_occupancy
Na1 Na 0.0088 0.9912 0.5000 1
Na2 Na 0.1832 0.8168 0.2748 1
Na3 Na 0.8168 0.1832 0.7748 1
Na4 Na 0.9912 0.0088 0.0000 1
Pb1 Pb 0.3862 0.6138 0.2881 1
Pb2 Pb 0.6138 0.3862 0.7881 1
Se1 Se 0.2035 0.7965 0.7841 1
Se2 Se 0.4274 0.5726 0.7356 1
Se3 Se 0.5726 0.4274 0.2356 1
Se4 Se 0.7965 0.2035 0.2841 1
```

No. 8
For NbOF3, DFT lattice parameters and positions (PBE) gives the theoretical PXRD pattern in this record (Cu Kα, 1.54184 Å).
Neutral-atom scattering factors, no anomalous dispersion.

Peak list (8 most intense, 5 to 70 degrees two-theta, sorted by position)
| 2theta | d [Å] | I/Imax |
| --- | --- | --- |
| 17.81 | 4.981 | 45 |
| 19.43 | 4.567 | 55 |
| 22.92 | 3.880 | 80 |
| 24.05 | 3.700 | 100 |
| 24.76 | 3.596 | 66 |
| 25.29 | 3.521 | 68 |
| 32.08 | 2.790 | 35 |
| 45.61 | 1.989 | 43 |

Structure:
```
data_NbOF3
_chemical_formula_sum 'Nb4 O4 F12'
_cell_length_a 5.1970
_cell_length_b 5.8324
_cell_length_c 9.5742
_cell_angle_alpha 90.00
_cell_angle_beta 90.00
_cell_angle_gamma 90.00
_space_group_name_H-M_alt 'P 1'
_space_group_IT_number 1
loop_
_space_group_symop_operation_xyz
'x,y,z'
loop_
_atom_site_label
_atom_site_type_symbol
_atom_site_fract_x
_atom_site_fract_y
_atom_site_fract_z
_atom_site_occupancy
Nb1 Nb 0.1372 0.0916 0.1424 1
Nb2 Nb 0.3628 0.9084 0.6424 1
Nb3 Nb 0.6372 0.4084 0.8576 1
Nb4 Nb 0.8628 0.5916 0.3576 1
O1 O 0.0191 0.3883 0.2409 1
O2 O 0.4809 0.6117 0.7409 1
O3 O 0.5191 0.1117 0.7591 1
O4 O 0.9809 0.8883 0.2591 1
F1 F 0.0426 0.8759 0.7336 1
F2 F 0.1537 0.6670 0.4908 1
F3 F 0.2384 0.1221 0.5094 1
F4 F 0.2616 0.8779 0.0094 1
F5 F 0.3463 0.3330 0.9908 1
F6 F 0.4574 0.1241 0.2336 1
F7 F 0.5426 0.6241 0.2664 1
F8 F 0.6537 0.8330 0.5092 1
F9 F 0.7384 0.3779 0.4906 1
F10 F 0.7616 0.6221 0.9906 1
F11 F 0.8463 0.1670 0.0092 1
F12 F 0.9574 0.3759 0.7664 1
```

No. 9
For Fe2Cu3Pd3, DFT lattice parameters and positions (PBE) gives the theoretical PXRD pattern in this record (Cu Kα, 1.54184 Å).
Neutral-atom scattering factors, no anomalous dispersion.

Peak list (8 most intense, 5 to 70 degrees two-theta, sorted by position)
| 2theta | d [Å] | I/Imax |
| --- | --- | --- |
| 25.46 | 3.499 | 4 |
| 28.95 | 3.084 | 3 |
| 36.15 | 2.485 | 2 |
| 41.55 | 2.174 | 100 |
| 46.75 | 1.943 | 17 |
| 47.38 | 1.919 | 17 |
| 50.85 | 1.796 | 14 |
| 68.76 | 1.365 | 10 |

Structure:
```
data_Fe2Cu3Pd3
_chemical_formula_sum 'Fe2 Cu3 Pd3'
_cell_length_a 8.2044
_cell_length_b 8.2044
_cell_length_c 8.2044
_cell_angle_alpha 154.72
_cell_angle_beta 152.95
_cell_angle_gamma 37.36
_space_group_name_H-M_alt 'P 1'
_space_group_IT_number 1
loop_
_space_group_symop_operation_xyz
'x,y,z'
loop_
_atom_site_label
_atom_site_type_symbol
_atom_site_fract_x
_atom_site_fract_y
_atom_site_fract_z
_atom_site_occupancy
Fe1 Fe 0.2494 0.2494 0.0000 1
Fe2 Fe 0.7506 0.7506 0.0000 1
Cu1 Cu 0.0000 0.0000 0.0000 1
Cu2 Cu 0.3718 0.8718 0.5000 1
Cu3 Cu 0.6282 0.1282 0.5000 1
Pd1 Pd 0.1297 0.6297 0.5000 1
Pd2 Pd 0.5000 0.5000 0.0000 1
Pd3 Pd 0.8703 0.3703 0.5000 1
```